(1)
Simulated powder diffractogram
Compound: YFe10W2
Radiation: Cu Kα (λ = 1.5418 Å)
Structure: a GGA-PBE-relaxed structure
Kinematic intensities with the Lorentz-polarization factor, no thermal factor.

Most intense lines, 2θ = 15–90°, in order of falling intensity:
| 2θ/deg | d_spacing | intensity |
| --- | --- | --- |
| 42.83 | 2.112 | 100.0 |
| 36.98 | 2.431 | 86.9 |
| 44.06 | 2.055 | 66.3 |
| 21.62 | 4.110 | 53.6 |
| 48.08 | 1.892 | 50.9 |
| 42.38 | 2.133 | 45.1 |

a = 6.470 Å, b = 6.470 Å, c = 6.470 Å
α = 137.50°, β = 97.61°, γ = 97.49°
Fractional coordinates of all 13 atoms:
1 Y 0.000 0.000 0.000
2 Fe 0.000 0.000 0.500
3 Fe 0.000 0.500 0.000
4 Fe 0.221 0.500 0.721
5 Fe 0.223 0.723 0.500
6 Fe 0.369 0.369 0.000
7 Fe 0.500 0.000 0.000
8 Fe 0.500 0.500 0.500
9 Fe 0.631 0.631 0.000
10 Fe 0.777 0.277 0.500
11 Fe 0.779 0.500 0.279
12 W 0.354 0.000 0.354
13 W 0.646 0.000 0.646

---

(2)
Simulated powder diffractogram
Compound: YFe2
Radiation: Cu Kα (λ = 1.5418 Å)
Structure: a GGA-PBE-relaxed structure
Kinematic intensities with the Lorentz-polarization factor, no thermal factor.

Most intense lines, 2θ = 15–90°, in order of falling intensity:
| 2θ/deg | d_spacing | intensity |
| --- | --- | --- |
| 41.18 | 2.192 | 100.0 |
| 34.86 | 2.574 | 65.7 |
| 41.01 | 2.201 | 50.7 |
| 43.04 | 2.102 | 40.1 |
| 73.52 | 1.288 | 23.1 |
| 66.89 | 1.399 | 21.8 |

a = 8.908 Å, b = 8.908 Å, c = 8.908 Å
α = 99.68°, β = 99.68°, γ = 131.58°
Fractional coordinates of all 30 atoms:
1 Y 0.000 0.000 0.000
2 Y 0.147 0.047 0.699
3 Y 0.199 0.398 0.603
4 Y 0.348 0.448 0.301
5 Y 0.404 0.801 0.199
6 Y 0.552 0.853 0.900
7 Y 0.602 0.205 0.801
8 Y 0.750 0.250 0.500
9 Y 0.795 0.596 0.397
10 Y 0.953 0.652 0.100
11 Fe 0.076 0.526 0.352
12 Fe 0.077 0.022 0.350
13 Fe 0.077 0.529 0.850
14 Fe 0.173 0.724 0.648
15 Fe 0.273 0.923 0.946
16 Fe 0.276 0.924 0.450
17 Fe 0.277 0.427 0.953
18 Fe 0.377 0.124 0.246
19 Fe 0.471 0.320 0.548
20 Fe 0.474 0.325 0.047
21 Fe 0.474 0.827 0.550
22 Fe 0.573 0.526 0.850
23 Fe 0.672 0.727 0.650
24 Fe 0.675 0.723 0.150
25 Fe 0.680 0.227 0.150
26 Fe 0.773 0.923 0.452
27 Fe 0.868 0.623 0.747
28 Fe 0.876 0.122 0.253
29 Fe 0.878 0.132 0.754
30 Fe 0.978 0.328 0.054

---

(3)
Simulated powder diffractogram
Compound: YFe3
Radiation: Cu Kα (λ = 1.5418 Å)
Structure: a GGA-PBE-relaxed structure
Kinematic intensities with the Lorentz-polarization factor, no thermal factor.

Most intense lines, 2θ = 15–90°, in order of falling intensity:
| 2θ/deg | d_spacing | intensity |
| --- | --- | --- |
| 41.82 | 2.160 | 100.0 |
| 34.40 | 2.607 | 45.0 |
| 35.08 | 2.558 | 37.2 |
| 41.13 | 2.195 | 34.9 |
| 44.22 | 2.048 | 26.2 |
| 67.55 | 1.387 | 21.9 |

a = 5.116 Å, b = 5.116 Å, c = 16.124 Å
α = 90.00°, β = 90.00°, γ = 120.00°
Fractional coordinates of all 24 atoms:
1 Y 0.333 0.667 0.037
2 Y 0.333 0.667 0.250
3 Y 0.333 0.667 0.463
4 Y 0.667 0.333 0.537
5 Y 0.667 0.333 0.750
6 Y 0.667 0.333 0.963
7 Fe 0.000 0.000 0.000
8 Fe 0.000 0.000 0.250
9 Fe 0.000 0.000 0.500
10 Fe 0.000 0.000 0.750
11 Fe 0.166 0.333 0.628
12 Fe 0.166 0.333 0.872
13 Fe 0.166 0.834 0.628
14 Fe 0.166 0.834 0.872
15 Fe 0.333 0.166 0.128
16 Fe 0.333 0.166 0.372
17 Fe 0.333 0.667 0.750
18 Fe 0.667 0.333 0.250
19 Fe 0.667 0.834 0.628
20 Fe 0.667 0.834 0.872
21 Fe 0.834 0.166 0.128
22 Fe 0.834 0.166 0.372
23 Fe 0.834 0.667 0.128
24 Fe 0.834 0.667 0.372

---

(4)
Simulated powder diffractogram
Compound: YFe3
Radiation: Cu Kα (λ = 1.5418 Å)
Structure: a GGA-PBE-relaxed structure
Kinematic intensities with the Lorentz-polarization factor, no thermal factor.

Most intense lines, 2θ = 15–90°, in order of falling intensity:
| 2θ/deg | d_spacing | intensity |
| --- | --- | --- |
| 41.57 | 2.172 | 100.0 |
| 44.73 | 2.026 | 39.4 |
| 34.86 | 2.573 | 37.3 |
| 40.65 | 2.219 | 34.4 |
| 32.68 | 2.740 | 28.7 |
| 35.76 | 2.511 | 24.1 |

a = 8.633 Å, b = 8.633 Å, c = 8.633 Å
α = 34.69°, β = 34.69°, γ = 34.69°
Fractional coordinates of all 12 atoms:
1 Y 0.000 0.000 0.000
2 Y 0.142 0.142 0.142
3 Y 0.858 0.858 0.858
4 Fe 0.082 0.580 0.580
5 Fe 0.333 0.333 0.333
6 Fe 0.420 0.420 0.918
7 Fe 0.420 0.918 0.420
8 Fe 0.500 0.500 0.500
9 Fe 0.580 0.082 0.580
10 Fe 0.580 0.580 0.082
11 Fe 0.667 0.667 0.667
12 Fe 0.918 0.420 0.420

---

(5)
Simulated powder diffractogram
Compound: YFe2
Radiation: Cu Kα (λ = 1.5418 Å)
Structure: a GGA-PBE-relaxed structure
Kinematic intensities with the Lorentz-polarization factor, no thermal factor.

Most intense lines, 2θ = 15–90°, in order of falling intensity:
| 2θ/deg | d_spacing | intensity |
| --- | --- | --- |
| 41.05 | 2.199 | 100.0 |
| 34.80 | 2.578 | 43.4 |
| 66.65 | 1.403 | 29.2 |
| 42.97 | 2.105 | 26.6 |
| 73.46 | 1.289 | 23.0 |
| 62.39 | 1.488 | 15.2 |

a = 5.156 Å, b = 5.156 Å, c = 5.156 Å
α = 60.00°, β = 60.00°, γ = 60.00°
Fractional coordinates of all 6 atoms:
1 Y 0.125 0.125 0.125
2 Y 0.875 0.875 0.875
3 Fe 0.000 0.500 0.500
4 Fe 0.500 0.000 0.500
5 Fe 0.500 0.500 0.000
6 Fe 0.500 0.500 0.500